Record 1
Pu5Ga2Ru5: simulated powder X-ray diffraction pattern (Cu Kα, 1.54184 Å), based on a DFT-relaxed cell (PBE, Alexandria).

Structure:
```
Pu5Ga2Ru5
1.0
7.159 -2.096 0.000
7.159 2.096 0.000
-4.398 0.000 7.801
Pu Ga Ru
5 2 5
Cartesian
0.000 0.000 0.000
-0.297 0.000 3.474
-1.369 0.000 6.730
11.287 0.000 1.070
10.215 0.000 4.327
1.513 0.000 6.126
8.406 0.000 1.674
2.731 0.000 2.243
5.757 0.000 1.291
4.959 0.000 3.900
4.162 0.000 6.510
7.187 0.000 5.558
```

The 10 most intense peaks (2θ = 5–70°), low angle first:
two_theta, intensity
22.37, 22
25.02, 24
30.28, 18
32.23, 26
32.51, 49
34.65, 86
37.27, 98
38.57, 100
43.15, 49
55.05, 23

---

Record 2
Pu2Ga8Ru: simulated powder X-ray diffraction pattern (Cu Kα, 1.54184 Å), based on a DFT-relaxed cell (PBE, Alexandria).

Structure:
```
Pu2Ga8Ru
1.0
4.311 0.000 0.000
0.000 4.311 0.000
0.000 0.000 11.192
Pu Ga Ru
2 8 1
Cartesian
0.000 0.000 2.143
0.000 0.000 9.050
0.000 2.156 0.000
0.000 2.156 4.221
0.000 2.156 6.971
2.156 0.000 0.000
2.156 0.000 4.221
2.156 0.000 6.971
2.156 2.156 2.155
2.156 2.156 9.038
0.000 0.000 5.596
```

The 10 most intense peaks (2θ = 5–70°), low angle first:
two_theta, intensity
20.60, 42
31.72, 25
33.47, 37
38.12, 100
40.29, 16
41.91, 52
47.14, 10
53.50, 15
59.54, 20
60.76, 17

---

Record 3
PuGaS: simulated powder X-ray diffraction pattern (Cu Kα, 1.54184 Å), based on a DFT-relaxed cell (PBE, Alexandria).

Structure:
```
PuGaS
1.0
0.000 6.033 7.522
3.264 0.000 7.522
3.264 6.033 0.000
Pu Ga S
4 4 4
Cartesian
2.448 1.380 5.641
4.080 4.396 9.402
2.448 7.670 5.641
4.080 10.687 9.402
0.816 1.508 0.592
0.816 1.508 3.169
5.712 10.558 11.875
5.712 10.558 14.452
3.264 3.017 3.761
1.632 6.033 3.761
1.632 3.017 7.522
3.264 6.033 7.522
```

The 10 most intense peaks (2θ = 5–70°), low angle first:
two_theta, intensity
18.86, 100
23.66, 19
29.61, 31
29.84, 63
31.15, 19
38.25, 21
38.90, 40
39.49, 62
42.54, 46
58.69, 18

---

Record 4
PuGaSb: simulated powder X-ray diffraction pattern (Cu Kα, 1.54184 Å), based on a DFT-relaxed cell (PBE, Alexandria).

Structure:
```
PuGaSb
1.0
5.077 0.000 0.000
-2.539 4.397 0.000
0.000 0.000 3.254
Pu Ga Sb
1 1 1
Cartesian
0.000 0.000 0.000
0.000 2.931 1.627
2.539 1.466 1.627
```

The 10 most intense peaks (2θ = 5–70°), low angle first:
two_theta, intensity
20.20, 33
34.28, 100
35.36, 76
41.06, 6
50.07, 35
55.28, 5
56.57, 7
62.78, 36
63.47, 14
68.50, 22